Record 1
Computed powder diffractogram
Compound: EuAsAu
Radiation: copper Kα
Structure: a crystal structure in the Materials Project, relaxed with GGA-PBE
Peak positions follow from Bragg's law for the DFT cell and can differ from measured ones.

Largest 10 diffraction maxima, by intensity, 2θ from 10° to 90°:
2theta, d (Å), I_rel
31.55, 2.836, 100
39.99, 2.254, 57
60.88, 1.522, 36
51.81, 1.765, 25
67.39, 1.390, 23
25.23, 3.529, 22
43.89, 2.063, 15
88.92, 1.101, 14
72.66, 1.301, 13
72.94, 1.297, 9

Crystal structure
```
data_EuAsAu
_cell_length_a 4.5087
_cell_length_b 4.5087
_cell_length_c 8.2507
_cell_angle_alpha 90.00
_cell_angle_beta 90.00
_cell_angle_gamma 120.00
_space_group_name_H-M_alt 'P 1'
_space_group_IT_number 1
loop_
_space_group_symop_operation_xyz
'x,y,z'
loop_
_atom_site_label
_atom_site_type_symbol
_atom_site_fract_x
_atom_site_fract_y
_atom_site_fract_z
_atom_site_occupancy
Eu1 Eu 0.0000 0.0000 0.0000 1
Eu2 Eu 0.0000 0.0000 0.5000 1
As1 As 0.3333 0.6667 0.2500 1
As2 As 0.6667 0.3333 0.7500 1
Au1 Au 0.3333 0.6667 0.7500 1
Au2 Au 0.6667 0.3333 0.2500 1
```



Record 2
Computed powder diffractogram
Compound: Fe2Pt
Radiation: copper Kα
Structure: a crystal structure in the Materials Project, relaxed with GGA-PBE
Peak positions follow from Bragg's law for the DFT cell and can differ from measured ones.

Largest 10 diffraction maxima, by intensity, 2θ from 10° to 90°:
2theta, d (Å), I_rel
42.39, 2.132, 100
49.61, 1.838, 57
14.11, 6.277, 56
43.24, 2.092, 24
28.44, 3.138, 22
73.38, 1.290, 21
88.02, 1.110, 19
39.76, 2.267, 18
72.18, 1.309, 16
60.19, 1.538, 13

Crystal structure
```
data_Fe2Pt
_cell_length_a 2.6176
_cell_length_b 2.6176
_cell_length_c 6.2769
_cell_angle_alpha 90.00
_cell_angle_beta 90.00
_cell_angle_gamma 120.00
_space_group_name_H-M_alt 'P 1'
_space_group_IT_number 1
loop_
_space_group_symop_operation_xyz
'x,y,z'
loop_
_atom_site_label
_atom_site_type_symbol
_atom_site_fract_x
_atom_site_fract_y
_atom_site_fract_z
_atom_site_occupancy
Fe1 Fe 0.3333 0.6667 0.1445 1
Fe2 Fe 0.6667 0.3333 0.8555 1
Pt1 Pt 0.0000 0.0000 0.5000 1
```



Record 3
Computed powder diffractogram
Compound: KTbP4O12
Radiation: copper Kα
Structure: a crystal structure in the Materials Project, relaxed with GGA-PBE
Peak positions follow from Bragg's law for the DFT cell and can differ from measured ones.

Largest 10 diffraction maxima, by intensity, 2θ from 10° to 90°:
2theta, d (Å), I_rel
15.28, 5.799, 100
26.64, 3.346, 93
26.92, 3.312, 76
15.98, 5.547, 75
28.49, 3.133, 74
29.00, 3.079, 63
16.61, 5.336, 63
27.29, 3.268, 51
16.18, 5.478, 50
42.81, 2.112, 34

Crystal structure
```
data_KTbP4O12
_cell_length_a 7.3564
_cell_length_b 8.4504
_cell_length_c 7.9763
_cell_angle_alpha 90.00
_cell_angle_beta 91.50
_cell_angle_gamma 90.00
_space_group_name_H-M_alt 'P 1'
_space_group_IT_number 1
loop_
_space_group_symop_operation_xyz
'x,y,z'
loop_
_atom_site_label
_atom_site_type_symbol
_atom_site_fract_x
_atom_site_fract_y
_atom_site_fract_z
_atom_site_occupancy
K1 K 0.2328 0.0000 0.2832 1
K2 K 0.7672 0.5000 0.7168 1
Tb1 Tb 0.2618 0.3120 0.7579 1
Tb2 Tb 0.7382 0.8120 0.2421 1
P1 P 0.0661 0.9378 0.9079 1
P2 P 0.1134 0.5604 0.3974 1
P3 P 0.4023 0.7306 0.9008 1
P4 P 0.4952 0.4637 0.3817 1
P5 P 0.5048 0.9637 0.6183 1
P6 P 0.5977 0.2306 0.0992 1
P7 P 0.8866 0.0604 0.6026 1
P8 P 0.9339 0.4378 0.0921 1
O1 O 0.0240 0.7146 0.3532 1
O2 O 0.0352 0.4225 0.2737 1
O3 O 0.0681 0.4080 0.9571 1
O4 O 0.1083 0.5010 0.5740 1
O5 O 0.1791 0.0845 0.9281 1
O6 O 0.1922 0.7830 0.8926 1
O7 O 0.3209 0.5733 0.3390 1
O8 O 0.3398 0.0682 0.6171 1
O9 O 0.4091 0.5677 0.8282 1
O10 O 0.4649 0.3679 0.5372 1
O11 O 0.4805 0.7617 0.0735 1
O12 O 0.4902 0.3499 0.2209 1
O13 O 0.5098 0.8499 0.7791 1
O14 O 0.5195 0.2617 0.9265 1
O15 O 0.5351 0.8679 0.4628 1
O16 O 0.5909 0.0677 0.1718 1
O17 O 0.6602 0.5682 0.3829 1
O18 O 0.6791 0.0733 0.6610 1
O19 O 0.8078 0.2830 0.1074 1
O20 O 0.8209 0.5845 0.0719 1
O21 O 0.8917 0.0010 0.4260 1
O22 O 0.9319 0.9080 0.0429 1
O23 O 0.9648 0.9225 0.7263 1
O24 O 0.9760 0.2146 0.6468 1
```



Record 4
Computed powder diffractogram
Compound: LaMgNi2
Radiation: copper Kα
Structure: a crystal structure in the Materials Project, relaxed with GGA-PBE
Peak positions follow from Bragg's law for the DFT cell and can differ from measured ones.

Largest 10 diffraction maxima, by intensity, 2θ from 10° to 90°:
2theta, d (Å), I_rel
33.84, 2.649, 100
27.32, 3.264, 76
41.27, 2.187, 59
38.92, 2.314, 53
34.52, 2.598, 41
43.12, 2.098, 39
56.39, 1.632, 33
42.52, 2.126, 33
53.55, 1.711, 29
20.89, 4.252, 26

Crystal structure
```
data_LaMgNi2
_cell_length_a 4.1958
_cell_length_b 12.8170
_cell_length_c 5.6838
_cell_angle_alpha 90.00
_cell_angle_beta 90.00
_cell_angle_gamma 90.00
_space_group_name_H-M_alt 'P 1'
_space_group_IT_number 1
loop_
_space_group_symop_operation_xyz
'x,y,z'
loop_
_atom_site_label
_atom_site_type_symbol
_atom_site_fract_x
_atom_site_fract_y
_atom_site_fract_z
_atom_site_occupancy
La1 La 0.0000 0.2203 0.2500 1
La2 La 0.0000 0.7797 0.7500 1
La3 La 0.5000 0.2797 0.7500 1
La4 La 0.5000 0.7203 0.2500 1
Mg1 Mg 0.0000 0.0436 0.7500 1
Mg2 Mg 0.0000 0.9564 0.2500 1
Mg3 Mg 0.5000 0.4564 0.2500 1
Mg4 Mg 0.5000 0.5436 0.7500 1
Ni1 Ni 0.0000 0.4098 0.5394 1
Ni2 Ni 0.0000 0.4098 0.9606 1
Ni3 Ni 0.0000 0.5902 0.0394 1
Ni4 Ni 0.0000 0.5902 0.4606 1
Ni5 Ni 0.5000 0.0902 0.0394 1
Ni6 Ni 0.5000 0.0902 0.4606 1
Ni7 Ni 0.5000 0.9098 0.5394 1
Ni8 Ni 0.5000 0.9098 0.9606 1
```



Record 5
Computed powder diffractogram
Compound: SiO2
Radiation: copper Kα
Structure: a crystal structure in the Materials Project, relaxed with GGA-PBE
Peak positions follow from Bragg's law for the DFT cell and can differ from measured ones.

Largest 10 diffraction maxima, by intensity, 2θ from 10° to 90°:
2theta, d (Å), I_rel
18.44, 4.811, 100
30.87, 2.897, 47
21.43, 4.146, 44
32.89, 2.723, 30
26.45, 3.369, 22
18.91, 4.693, 17
53.97, 1.699, 11
32.66, 2.742, 11
72.50, 1.304, 10
43.66, 2.073, 7

Crystal structure
```
data_SiO2
_cell_length_a 12.6495
_cell_length_b 11.8951
_cell_length_c 5.8496
_cell_angle_alpha 83.52
_cell_angle_beta 69.12
_cell_angle_gamma 27.35
_space_group_name_H-M_alt 'P 1'
_space_group_IT_number 1
loop_
_space_group_symop_operation_xyz
'x,y,z'
loop_
_atom_site_label
_atom_site_type_symbol
_atom_site_fract_x
_atom_site_fract_y
_atom_site_fract_z
_atom_site_occupancy
Si1 Si 0.0760 0.3059 0.8734 1
Si2 Si 0.1266 0.7553 0.9240 1
Si3 Si 0.2447 0.8734 0.3059 1
Si4 Si 0.3059 0.0760 0.2447 1
Si5 Si 0.6941 0.9240 0.7553 1
Si6 Si 0.7553 0.1266 0.6941 1
Si7 Si 0.8734 0.2447 0.0760 1
Si8 Si 0.9240 0.6941 0.1266 1
O1 O 0.0000 0.0000 0.0000 1
O2 O 0.0000 0.0000 0.5000 1
O3 O 0.0000 0.5000 0.0000 1
O4 O 0.0774 0.0774 0.1726 1
O5 O 0.0931 0.6569 0.0931 1
O6 O 0.1726 0.1726 0.0774 1
O7 O 0.2154 0.2154 0.5346 1
O8 O 0.3431 0.9069 0.3431 1
O9 O 0.4654 0.4654 0.7846 1
O10 O 0.5000 0.0000 0.0000 1
O11 O 0.5346 0.5346 0.2154 1
O12 O 0.6569 0.0931 0.6569 1
O13 O 0.7846 0.7846 0.4654 1
O14 O 0.8274 0.8274 0.9226 1
O15 O 0.9069 0.3431 0.9069 1
O16 O 0.9226 0.9226 0.8274 1
```



Record 6
Computed powder diffractogram
Compound: MnCo4Cu10Sn5S20
Radiation: copper Kα
Structure: a crystal structure in the Materials Project, relaxed with GGA-PBE
Peak positions follow from Bragg's law for the DFT cell and can differ from measured ones.

Largest 10 diffraction maxima, by intensity, 2θ from 10° to 90°:
2theta, d (Å), I_rel
28.58, 3.123, 100
47.54, 1.913, 58
56.45, 1.630, 27
33.12, 2.705, 15
56.33, 1.633, 14
88.61, 1.104, 12
76.77, 1.242, 11
88.45, 1.105, 6
69.58, 1.351, 6
76.87, 1.240, 5

Crystal structure
```
data_MnCo4Cu10Sn5S20
_cell_length_a 27.3686
_cell_length_b 27.3686
_cell_length_c 27.3686
_cell_angle_alpha 168.67
_cell_angle_beta 168.67
_cell_angle_gamma 16.05
_space_group_name_H-M_alt 'P 1'
_space_group_IT_number 1
loop_
_space_group_symop_operation_xyz
'x,y,z'
loop_
_atom_site_label
_atom_site_type_symbol
_atom_site_fract_x
_atom_site_fract_y
_atom_site_fract_z
_atom_site_occupancy
Mn1 Mn 0.0000 0.0000 0.0000 1
Co1 Co 0.2000 0.2000 0.0000 1
Co2 Co 0.4000 0.4000 0.0000 1
Co3 Co 0.6000 0.6000 0.0000 1
Co4 Co 0.8000 0.8000 0.0000 1
Cu1 Cu 0.0503 0.5503 0.5000 1
Cu2 Cu 0.1000 0.1000 0.0000 1
Cu3 Cu 0.2500 0.7500 0.5000 1
Cu4 Cu 0.3000 0.3000 0.0000 1
Cu5 Cu 0.4497 0.9497 0.5000 1
Cu6 Cu 0.5000 0.5000 0.0000 1
Cu7 Cu 0.6500 0.1500 0.5000 1
Cu8 Cu 0.7000 0.7000 0.0000 1
Cu9 Cu 0.8500 0.3500 0.5000 1
Cu10 Cu 0.9000 0.9000 0.0000 1
Sn1 Sn 0.1500 0.6500 0.5000 1
Sn2 Sn 0.3500 0.8500 0.5000 1
Sn3 Sn 0.5505 0.0505 0.5000 1
Sn4 Sn 0.7500 0.2500 0.5000 1
Sn5 Sn 0.9495 0.4495 0.5000 1
S1 S 0.0368 0.5445 0.0278 1
S2 S 0.0555 0.0833 0.4923 1
S3 S 0.1168 0.6091 0.9724 1
S4 S 0.1899 0.1630 0.5065 1
S5 S 0.2452 0.7330 0.0270 1
S6 S 0.2670 0.2939 0.5122 1
S7 S 0.3167 0.8101 0.9731 1
S8 S 0.3909 0.3634 0.5077 1
S9 S 0.4368 0.9445 0.0278 1
S10 S 0.4555 0.4833 0.4923 1
S11 S 0.5167 0.0090 0.9722 1
S12 S 0.5910 0.5632 0.5077 1
S13 S 0.6366 0.1444 0.0276 1
S14 S 0.6564 0.6833 0.4935 1
S15 S 0.7061 0.2183 0.9730 1
S16 S 0.7817 0.7548 0.4878 1
S17 S 0.8370 0.3436 0.0269 1
S18 S 0.8556 0.8832 0.4923 1
S19 S 0.9167 0.4090 0.9722 1
S20 S 0.9910 0.9632 0.5077 1
```